# 1
For ZrH6O2F6, DFT lattice parameters and positions (PBE) gives the calculated X-ray diffraction stick pattern in this record (Cu Kα X-rays).
No peak broadening, texture or thermal motion is included.

```
ZrH6O2F6
1.0
3.6873 -6.3898 0.0000
3.6873 6.3898 0.0000
-2.6541 0.0000 6.2817
Zr H O F
2 12 4 12
direct
0.0472 0.9528 0.7500 Zr
0.9528 0.0472 0.2500 Zr
0.1499 0.6161 0.8738 H
0.2410 0.5962 0.4364 H
0.2705 0.4773 0.9436 H
0.3839 0.8501 0.6262 H
0.4038 0.7590 0.0636 H
0.4773 0.2705 0.4436 H
0.5227 0.7295 0.5564 H
0.5962 0.2410 0.9364 H
0.6161 0.1499 0.3738 H
0.7295 0.5227 0.0564 H
0.7590 0.4038 0.5636 H
0.8501 0.3839 0.1262 H
0.2558 0.6116 0.9906 O
0.3884 0.7442 0.5094 O
0.6116 0.2558 0.4906 O
0.7442 0.3884 0.0094 O
0.0038 0.3713 0.2996 F
0.0665 0.8864 0.4384 F
0.1136 0.9335 0.0616 F
0.2839 0.2913 0.8957 F
0.2913 0.2839 0.3957 F
0.3713 0.0038 0.7996 F
0.6287 0.9962 0.2004 F
0.7087 0.7161 0.6043 F
0.7161 0.7087 0.1043 F
0.8864 0.0665 0.9384 F
0.9335 0.1136 0.5616 F
0.9962 0.6287 0.7004 F
```

Most intense lines, 2θ from 15° to 90°, most intense first:
d [Å], I (rel.)
3.285, 100
4.480, 49
2.230, 42
2.016, 37
3.609, 30
1.999, 29
3.397, 26
2.043, 22
5.353, 21
1.699, 20
2.677, 19
3.453, 18

---

# 2
For ZrH6O3F4, DFT lattice parameters and positions (PBE) gives the calculated X-ray diffraction stick pattern in this record (Cu Kα X-rays).
No peak broadening, texture or thermal motion is included.

```
ZrH6O3F4
1.0
5.9955 0.0000 0.0000
2.6330 6.1580 0.0000
1.9646 1.0314 7.2897
Zr H O F
2 12 6 8
direct
0.1205 0.1468 0.2816 Zr
0.8795 0.8532 0.7184 Zr
0.1963 0.7847 0.9772 H
0.2304 0.5507 0.9344 H
0.2431 0.4437 0.4348 H
0.3578 0.0604 0.6775 H
0.3874 0.1651 0.8393 H
0.4908 0.3280 0.2871 H
0.5092 0.6720 0.7129 H
0.6126 0.8349 0.1607 H
0.6422 0.9396 0.3225 H
0.7569 0.5563 0.5652 H
0.7696 0.4493 0.0656 H
0.8037 0.2153 0.0228 H
0.2161 0.7031 0.8753 O
0.3234 0.3314 0.3492 O
0.4754 0.0687 0.7427 O
0.5246 0.9313 0.2573 O
0.6766 0.6686 0.6508 O
0.7839 0.2969 0.1247 O
0.1385 0.5914 0.6022 F
0.1652 0.8982 0.1477 F
0.1690 0.9968 0.5597 F
0.2461 0.2990 0.0245 F
0.7539 0.7010 0.9755 F
0.8310 0.0032 0.4403 F
0.8348 0.1018 0.8523 F
0.8615 0.4086 0.3978 F
```

Most intense lines, 2θ from 15° to 90°, most intense first:
d [Å], I (rel.)
5.037, 100
4.856, 73
5.414, 64
4.802, 49
3.672, 48
4.384, 42
2.952, 30
3.479, 28
2.086, 24
2.709, 24
3.645, 23
2.232, 21

---

# 3
For ZrH6O3F4, DFT lattice parameters and positions (PBE) gives the calculated X-ray diffraction stick pattern in this record (Cu Kα X-rays).
No peak broadening, texture or thermal motion is included.

```
ZrH6O3F4
1.0
6.8784 0.0000 0.0000
0.0000 10.7638 0.0000
-1.3629 0.0000 7.6284
Zr H O F
4 24 12 16
direct
0.2432 0.0454 0.4609 Zr
0.2432 0.4546 0.9609 Zr
0.7568 0.5454 0.0391 Zr
0.7568 0.9546 0.5391 Zr
0.0974 0.6229 0.3824 H
0.0974 0.8771 0.8824 H
0.2356 0.1999 0.0696 H
0.2356 0.3001 0.5696 H
0.2536 0.6251 0.6624 H
0.2536 0.8749 0.1624 H
0.2635 0.1956 0.8681 H
0.2635 0.3044 0.3681 H
0.2633 0.7066 0.8422 H
0.2633 0.7934 0.3422 H
0.3136 0.5825 0.3826 H
0.3136 0.9175 0.8826 H
0.6864 0.0825 0.1174 H
0.6864 0.4175 0.6174 H
0.7367 0.2066 0.6578 H
0.7367 0.2934 0.1578 H
0.7365 0.6956 0.6319 H
0.7365 0.8044 0.1319 H
0.7464 0.1251 0.8376 H
0.7464 0.3749 0.3376 H
0.7644 0.6999 0.4304 H
0.7644 0.8001 0.9304 H
0.9026 0.1229 0.1176 H
0.9026 0.3771 0.6176 H
0.2354 0.6417 0.4378 O
0.2354 0.8583 0.9378 O
0.2561 0.6214 0.7920 O
0.2561 0.8786 0.2920 O
0.2767 0.2502 0.4740 O
0.2767 0.2498 0.9740 O
0.7233 0.7502 0.0260 O
0.7233 0.7498 0.5260 O
0.7439 0.1214 0.7080 O
0.7439 0.3786 0.2080 O
0.7646 0.1417 0.0622 O
0.7646 0.3583 0.5622 O
0.0658 0.5981 0.0568 F
0.0658 0.9019 0.5568 F
0.1573 0.1059 0.2022 F
0.1573 0.3941 0.7022 F
0.2630 0.0955 0.7185 F
0.2630 0.4045 0.2185 F
0.4699 0.5781 0.1067 F
0.4699 0.9219 0.6067 F
0.5301 0.0781 0.3933 F
0.5301 0.4219 0.8933 F
0.7370 0.5955 0.7815 F
0.7370 0.9045 0.2815 F
0.8427 0.6059 0.2978 F
0.8427 0.8941 0.7978 F
0.9342 0.0981 0.4432 F
0.9342 0.4019 0.9432 F
```

Most intense lines, 2θ from 15° to 90°, most intense first:
d [Å], I (rel.)
5.382, 100
3.386, 98
3.171, 60
3.872, 46
3.247, 41
3.814, 40
2.052, 36
5.731, 33
2.096, 31
2.299, 28
2.333, 23
1.848, 23

---

# 4
For PHF2, DFT lattice parameters and positions (PBE) gives the calculated X-ray diffraction stick pattern in this record (Cu Kα X-rays).
No peak broadening, texture or thermal motion is included.

```
PHF2
1.0
4.6825 0.0000 0.0000
0.0000 6.5375 0.0000
0.0000 0.0000 8.1277
P H F
4 4 8
direct
0.2266 0.0892 0.0832 P
0.2734 0.9108 0.5832 P
0.7266 0.4108 0.9168 P
0.7734 0.5892 0.4168 P
0.0259 0.9486 0.0129 H
0.4741 0.0514 0.5129 H
0.5259 0.5514 0.9871 H
0.9741 0.4486 0.4871 H
0.0538 0.0838 0.6500 F
0.0544 0.1238 0.2537 F
0.4456 0.8762 0.7537 F
0.4462 0.9162 0.1500 F
0.5544 0.3762 0.7463 F
0.5538 0.4162 0.3500 F
0.9462 0.5838 0.8500 F
0.9456 0.6238 0.2463 F
```

Most intense lines, 2θ from 15° to 90°, most intense first:
d [Å], I (rel.)
3.807, 100
3.451, 99
3.069, 42
2.680, 40
2.237, 21
2.545, 21
1.557, 18
2.206, 17
3.033, 15
3.269, 15
2.029, 13
1.565, 11

---

Repeat the fourth record exactly.
For PHF2, DFT lattice parameters and positions (PBE) gives the calculated X-ray diffraction stick pattern in this record (Cu Kα X-rays).
No peak broadening, texture or thermal motion is included.

```
PHF2
1.0
4.6825 0.0000 0.0000
0.0000 6.5375 0.0000
0.0000 0.0000 8.1277
P H F
4 4 8
direct
0.2266 0.0892 0.0832 P
0.2734 0.9108 0.5832 P
0.7266 0.4108 0.9168 P
0.7734 0.5892 0.4168 P
0.0259 0.9486 0.0129 H
0.4741 0.0514 0.5129 H
0.5259 0.5514 0.9871 H
0.9741 0.4486 0.4871 H
0.0538 0.0838 0.6500 F
0.0544 0.1238 0.2537 F
0.4456 0.8762 0.7537 F
0.4462 0.9162 0.1500 F
0.5544 0.3762 0.7463 F
0.5538 0.4162 0.3500 F
0.9462 0.5838 0.8500 F
0.9456 0.6238 0.2463 F
```

Most intense lines, 2θ from 15° to 90°, most intense first:
d [Å], I (rel.)
3.807, 100
3.451, 99
3.069, 42
2.680, 40
2.237, 21
2.545, 21
1.557, 18
2.206, 17
3.033, 15
3.269, 15
2.029, 13
1.565, 11

---

> Which formula does entry 2 have?

ZrH6O3F4